Simulated XRD peak list
Compound: BaNdEuSbO6
Radiation: Cu Kα X-rays
Structure: a cell relaxed with GGA-PBE
Intensities are scaled so that the largest is 100.

Peak list (10 most intense, 10° ≤ 2θ ≤ 80°, sorted by position)
| two_theta | intensity | hkl |
| --- | --- | --- |
| 29.38 | 96 | 1 1 2 |
| 29.52 | 100 | -1 1 2 |
| 29.62 | 95 | 1 1 -2 |
| 42.22 | 76 | 0 0 4 |
| 52.19 | 43 | 2 0 4 |
| 52.33 | 28 | 3 -1 2 |
| 52.62 | 32 | 3 1 -2 |
| 61.39 | 15 | 4 0 0 |
| 69.18 | 12 | 1 1 6 |
| 69.54 | 20 | -1 1 6 |

Crystal structure
a b c (Å): 6.038 6.074 8.561
angles (deg): 89.71 89.51 89.91
Space group P-1 (No. 2)
Unique sites:
Ba  0.006  0.023  0.250 x2
Nd  0.000  0.500  0.000 x1
Nd  0.500  0.000  0.500 x1
Eu  0.491  0.533  0.248 x2
Sb  0.000  0.500  0.500 x1
Sb  0.500  0.000  0.000 x1
O  0.091  0.497  0.730 x2
O  0.205  0.758  0.463 x2
O  0.235  0.800  0.026 x2
O  0.260  0.299  0.448 x2
O  0.311  0.272  0.048 x2
O  0.440  0.045  0.769 x2